No. 1
For CsMg3Nb, a cell relaxed with GGA-PBE gives the simulated XRD peak list in this record (CuKα).

Atomic structure:
```
CsMg3Nb
1.0
5.7777 0.0000 0.0000
0.0000 5.7777 0.0000
0.0000 0.0000 5.7777
Cs Mg Nb
1 3 1
Direct
0.0000 0.0000 0.0000 Cs
0.0000 0.5000 0.5000 Mg
0.5000 0.0000 0.5000 Mg
0.5000 0.5000 0.0000 Mg
0.5000 0.5000 0.5000 Nb
```

Largest 10 diffraction maxima, in order of falling intensity, 15° ≤ 2θ ≤ 90°:
- d 4.085, intensity 100
- d 2.889, intensity 47
- d 2.359, intensity 46
- d 2.043, intensity 34
- d 1.544, intensity 24
- d 1.827, intensity 21
- d 1.292, intensity 15
- d 1.133, intensity 14
- d 3.336, intensity 12
- d 1.362, intensity 12



No. 2
For Ac2GaSn4, a cell relaxed with GGA-PBE gives the simulated XRD peak list in this record (CuKα).

Atomic structure:
```
Ac2GaSn4
1.0
-3.2235 3.2235 5.3449
3.2235 -3.2235 5.3449
3.2235 3.2235 -5.3449
Ac Ga Sn
2 1 4
Direct
0.0000 0.5000 0.5000 Ac
0.5000 0.0000 0.5000 Ac
0.4298 0.4298 0.0000 Ga
0.4974 0.4974 0.5041 Sn
0.4974 0.9933 0.0000 Sn
0.9933 0.4974 0.0000 Sn
0.9933 0.9933 0.4959 Sn
```

Largest 10 diffraction maxima, in order of falling intensity, 15° ≤ 2θ ≤ 90°:
- d 2.760, intensity 100
- d 2.279, intensity 31
- d 3.468, intensity 30
- d 1.392, intensity 26
- d 4.559, intensity 24
- d 1.734, intensity 23
- d 2.672, intensity 20
- d 1.559, intensity 15
- d 2.305, intensity 14
- d 1.905, intensity 12



No. 3
For Y2CoMo, a cell relaxed with GGA-PBE gives the simulated XRD peak list in this record (CuKα).

Atomic structure:
```
Y2CoMo
1.0
4.4565 0.0000 0.0000
0.0000 3.8886 0.0000
-2.2243 0.0000 5.2033
Y Co Mo
2 1 1
Direct
0.0000 0.0000 0.0000 Y
0.2956 0.5000 0.5929 Y
0.7103 0.0000 0.4233 Co
0.5978 0.5000 0.1953 Mo
```

Largest 10 diffraction maxima, in order of falling intensity, 15° ≤ 2θ ≤ 90°:
- d 2.820, intensity 100
- d 2.737, intensity 70
- d 2.238, intensity 51
- d 1.585, intensity 38
- d 2.162, intensity 37
- d 2.228, intensity 35
- d 1.552, intensity 25
- d 1.944, intensity 23
- d 1.465, intensity 18
- d 5.203, intensity 14



No. 4
For DyHoH4, a cell relaxed with GGA-PBE gives the simulated XRD peak list in this record (CuKα).

Atomic structure:
```
DyHoH4
1.0
-2.5734 2.5734 5.1945
2.5734 -2.5734 5.1945
2.5734 2.5734 -5.1945
Dy Ho H
2 2 8
Direct
0.3750 0.6250 0.7500 Dy
0.6250 0.3750 0.2500 Dy
0.1250 0.8750 0.2500 Ho
0.8750 0.1250 0.7500 Ho
0.0000 0.2482 0.2482 H
0.0000 0.7518 0.7518 H
0.2482 0.0000 0.7482 H
0.2482 0.5000 0.2482 H
0.5000 0.2482 0.7482 H
0.5000 0.7518 0.2518 H
0.7518 0.0000 0.2518 H
0.7518 0.5000 0.7518 H
```

Largest 10 diffraction maxima, in order of falling intensity, 15° ≤ 2θ ≤ 90°:
- d 2.981, intensity 100
- d 2.573, intensity 32
- d 1.553, intensity 29
- d 1.828, intensity 25
- d 2.597, intensity 17
- d 1.564, intensity 15
- d 1.490, intensity 12
- d 1.820, intensity 12
- d 1.186, intensity 12
- d 1.181, intensity 6